(1)
This entry pairs a crystal structure of GaBiPb2O6 with its computed PXRD pattern. Radiation: CuKα. Structure: a structure optimized by DFT (GGA-PBE).

The 6 most intense peaks (5° ≤ 2θ ≤ 70°), by intensity:
h k l	2theta	d_spacing	I_rel
1 1 1	30.7	2.913	100.0
3 1 -1	54.7	1.679	32.8
2 0 -2	30.8	2.904	20.3
2 2 -2	44.1	2.055	19.3
2 0 -6	54.5	1.684	17.4
2 2 2	63.9	1.457	12.1

Crystal structure
Lattice parameters (Å, degrees): 5.8081 5.8146 10.1024 90.00 125.06 90.00
Space group P2_1/c (No. 14)
One atom of each set of equivalent atoms:
Ga (0.0000, 0.0000, 0.0000) x2
Bi (0.5000, 0.0000, 0.5000) x2
Pb (0.2484, 0.0300, 0.7470) x4
O (0.1739, 0.0158, 0.2422) x4
O (0.2301, 0.7183, 0.0312) x4
O (0.3152, 0.2046, 0.0344) x4

=====

(2)
This entry pairs a crystal structure of TmAl3Zn with its computed PXRD pattern. Radiation: CuKα. Structure: a structure optimized by DFT (GGA-PBE).

The 6 most intense peaks (5° ≤ 2θ ≤ 70°), by intensity:
h k l	2theta	d_spacing	I_rel
1 1 -2	32.5	2.755	100.0
0 2 1	34.9	2.573	81.6
0 0 1	15.9	5.573	58.8
0 2 0	30.8	2.904	56.0
2 2 -1	44.1	2.053	47.4
1 1 0	23.1	3.853	44.7

Crystal structure
Lattice parameters (Å, degrees): 5.8127 5.8019 6.2760 90.00 117.38 90.00
Space group Cm (No. 8)
One atom of each set of equivalent atoms:
Tm (0.0000, 0.0000, 0.0000) x2
Al (0.3925, 0.0000, 0.7853) x2
Al (0.4942, 0.2505, 0.4884) x4
Zn (0.1076, 0.5000, 0.2153) x2

=====

(3)
This entry pairs a crystal structure of BaNa2IO6 with its computed PXRD pattern. Radiation: CuKα. Structure: a structure optimized by DFT (GGA-PBE).

The 6 most intense peaks (5° ≤ 2θ ≤ 70°), by intensity:
h k l	2theta	d_spacing	I_rel
0 1 2	20.6	4.301	100.0
1 0 4	28.7	3.110	64.5
1 1 0	30.0	2.978	52.1
1 1 6	46.4	1.958	31.1
2 1 4	52.5	1.743	26.1
0 2 4	42.0	2.151	25.4

Crystal structure
Lattice parameters (Å, degrees): 5.9550 5.9550 15.5943 90.00 90.00 120.00
Space group R3 (No. 146, hexagonal axes)
One atom of each set of equivalent atoms:
Ba (0.0000, 0.0000, 0.0000) x3
Na (0.0000, 0.0000, 0.2170) x3
Na (0.0000, 0.0000, 0.7298) x3
I (0.0000, 0.0000, 0.5129) x3
O (0.0738, 0.3931, 0.1131) x9
O (0.0822, 0.6722, 0.2540) x9

=====

(4)
This entry pairs a crystal structure of ZnICl with its computed PXRD pattern. Radiation: CuKα. Structure: a structure optimized by DFT (GGA-PBE).

The 6 most intense peaks (5° ≤ 2θ ≤ 70°), by intensity:
h k l	2theta	d_spacing	I_rel
1 0 1	17.9	4.963	100.0
2 0 0	23.8	3.731	73.6
1 1 -1	26.7	3.344	48.1
0 1 1	24.6	3.624	47.5
0 1 3	42.4	2.133	42.5
3 1 -1	42.8	2.114	40.8

Crystal structure
Lattice parameters (Å, degrees): 7.5213 4.1456 7.5310 90.00 97.49 90.00
Space group P2/m (No. 10)
One atom of each set of equivalent atoms:
Zn (0.1392, 0.0000, 0.3597) x2
I (0.2812, 0.5000, 0.2172) x2
Cl (0.1733, 0.0000, 0.6720) x2

=====

(5)
This entry pairs a crystal structure of Y7Ho12Sc with its computed PXRD pattern. Radiation: CuKα. Structure: a structure optimized by DFT (GGA-PBE).

The 6 most intense peaks (5° ≤ 2θ ≤ 70°), by intensity:
h k l	2theta	d_spacing	I_rel
4 -3 1	31.8	2.811	100.0
3 1 2	33.3	2.687	59.8
0 3 3	31.1	2.878	53.8
2 1 4	32.3	2.775	49.0
0 1 5	29.5	3.027	34.1
0 2 4	28.4	3.138	22.5

Crystal structure
Lattice parameters (Å, degrees): 11.8919 11.8919 15.8341 90.00 90.00 120.00
Space group R-3 (No. 148, hexagonal axes)
One atom of each set of equivalent atoms:
Y (0.0000, 0.0000, 0.0000) x3
Y (0.0657, 0.5866, 0.0825) x18
Ho (0.0262, 0.4522, 0.7215) x18
Ho (0.0588, 0.1897, 0.7919) x18
Sc (0.0000, 0.0000, 0.5000) x3

=====

Which formula does entry 5 have?
Y7Ho12Sc

=====

What is the formula in the third record?
BaNa2IO6